Record 1
The following is a calculated powder diffractogram of Pr2Ta3Se2O8. It was derived from a cell relaxed with PBE, using CuKα.

Peak list (10 most intense, 2θ = 10–90°, by intensity)
d (Å)	I_rel	(hkl)
3.212	100	3 1 0
3.079	99	1 2 2
3.236	62	0 2 2
2.915	39	3 2 0
2.953	39	2 1 2
1.921	38	0 0 4
6.008	37	0 2 0
1.719	36	4 4 2
2.425	31	2 3 2
2.877	30	1 4 0

Structure:
```
data_Pr2Ta3Se2O8
_chemical_formula_sum 'Pr8 Ta12 Se8 O32'
_symmetry_space_group_name_H-M 'P n n m'
_symmetry_Int_Tables_number 58
_cell_length_a 10.001
_cell_length_b 12.016
_cell_length_c 7.682
_cell_angle_alpha 90.00
_cell_angle_beta 90.00
_cell_angle_gamma 90.00
loop_
_symmetry_equiv_pos_as_xyz
'x,y,z'
'-x,-y,-z'
'-x,-y,z'
'x,y,-z'
'x+1/2,-y+1/2,-z+1/2'
'-x+1/2,y+1/2,z+1/2'
'-x+1/2,y+1/2,-z+1/2'
'x+1/2,-y+1/2,z+1/2'
loop_
_atom_site_label
_atom_site_fract_x
_atom_site_fract_y
_atom_site_fract_z
Pr1 0.210 0.157 0.000
Pr2 0.227 0.149 0.500
Ta1 0.000 0.500 0.285
Ta2 0.136 0.917 0.250
Se1 0.020 0.337 0.500
Se2 0.023 0.362 0.000
O1 0.056 0.103 0.254
O2 0.135 0.949 0.000
O3 0.150 0.951 0.500
O4 0.197 0.525 0.265
O5 0.212 0.776 0.248
```

Record 2
The following is a calculated powder diffractogram of Ac2Zn6Cd. It was derived from a cell relaxed with PBE, using CuKα.

Peak list (10 most intense, 2θ = 10–90°, by intensity)
d (Å)	I_rel	(hkl)
2.657	100	1 0 2
2.436	91	0 2 1
2.742	65	1 1 1
3.065	41	1 1 0
4.016	34	0 1 1
1.701	33	3 0 1
1.908	33	1 0 3
1.680	32	2 1 2
1.532	25	2 2 0
1.328	25	1 3 2

Structure:
```
data_Ac2Zn6Cd
_chemical_formula_sum 'Ac2 Zn6 Cd1'
_symmetry_space_group_name_H-M 'P -3 m 1'
_symmetry_Int_Tables_number 164
_symmetry_space_group_name_Hall '-P 3 2"'
_cell_length_a 6.1295
_cell_length_b 6.1295
_cell_length_c 6.1411
_cell_angle_alpha 90.00
_cell_angle_beta 90.00
_cell_angle_gamma 120.00
loop_
_atom_site_label
_atom_site_fract_x
_atom_site_fract_y
_atom_site_fract_z
Ac1 0.3333 0.6667 0.3454
Zn1 0.1788 0.3576 0.8523
Cd1 0.0000 0.0000 0.5000
```

Record 3
The following is a calculated powder diffractogram of CaCu4Si4. It was derived from a cell relaxed with PBE, using CuKα.

Peak list (10 most intense, 2θ = 10–90°, by intensity)
d (Å)	I_rel	(hkl)
2.734	100	2 0 1
2.473	98	2 1 1
2.050	63	2 2 0
2.479	59	1 0 3
1.992	49	2 0 3
1.834	46	2 2 2
1.579	40	3 0 3
1.939	39	1 0 4
1.883	39	2 1 3
4.113	36	0 0 2

Structure:
```
data_CaCu4Si4
_chemical_formula_sum 'Ca2 Cu8 Si8'
_symmetry_space_group_name_H-M 'P 42/n m c'
_symmetry_Int_Tables_number 137
_cell_length_a 5.797
_cell_length_b 5.797
_cell_length_c 8.228
_cell_angle_alpha 90.00
_cell_angle_beta 90.00
_cell_angle_gamma 90.00
loop_
_symmetry_equiv_pos_as_xyz
'x,y,z'
'-x,-y,-z'
'-y+1/2,x,z+1/2'
'y+1/2,-x,-z+1/2'
'-x+1/2,-y+1/2,z'
'x+1/2,y+1/2,-z'
'y,-x+1/2,z+1/2'
'-y,x+1/2,-z+1/2'
'x+1/2,-y,-z'
'-x+1/2,y,z'
'-y,-x,-z+1/2'
'y,x,z+1/2'
'-x,y+1/2,-z'
'x,-y+1/2,z'
'y+1/2,x+1/2,-z+1/2'
'-y+1/2,-x+1/2,z+1/2'
loop_
_atom_site_label
_atom_site_fract_x
_atom_site_fract_y
_atom_site_fract_z
Ca1 0.250 0.750 0.250
Cu1 0.025 0.250 0.061
Si1 0.040 0.250 0.354
```

Record 4
The following is a calculated powder diffractogram of Ba2LiHoRuO6. It was derived from a cell relaxed with PBE, using CuKα.

Peak list (10 most intense, 2θ = 10–90°, by intensity)
d (Å)	I_rel	(hkl)
2.939	100	1 1 0
3.152	92	1 0 4
2.150	51	0 2 4
1.735	33	2 1 4
1.697	20	3 0 0
2.716	20	0 1 5
1.470	18	2 2 0
1.111	14	4 1 0
1.525	14	1 1 9
1.332	14	1 3 4

Structure:
```
data_Ba2LiHoRuO6
_chemical_formula_sum 'Ba6 Li3 Ho3 Ru3 O18'
_symmetry_space_group_name_H-M 'R 3 m'
_symmetry_Int_Tables_number 160
_symmetry_space_group_name_Hall 'R 3 -2"'
_cell_length_a 5.8783
_cell_length_b 5.8783
_cell_length_c 16.0565
_cell_angle_alpha 90.00
_cell_angle_beta 90.00
_cell_angle_gamma 120.00
loop_
_atom_site_label
_atom_site_fract_x
_atom_site_fract_y
_atom_site_fract_z
Ba1 0.0000 0.0000 0.0000
Ba2 0.0000 0.0000 0.4592
Li1 0.0000 0.0000 0.6195
Ho1 0.0000 0.0000 0.2439
Ru1 0.0000 0.0000 0.7597
O1 0.0151 0.5076 0.4968
O2 0.1731 0.3462 0.3392
```

Record 5
The following is a calculated powder diffractogram of Nd4Ge3Rh4. It was derived from a cell relaxed with PBE, using CuKα.

Peak list (10 most intense, 2θ = 10–90°, by intensity)
d (Å)	I_rel	(hkl)
2.421	100	3 1 -3
2.247	90	4 2 1
2.668	80	0 2 1
2.496	68	7 1 -2
2.622	59	4 0 2
2.481	58	4 2 -1
2.681	44	7 1 -1
2.505	39	8 0 0
2.986	37	1 1 2
1.425	30	0 4 0

Structure:
```
data_Nd4Ge3Rh4
_chemical_formula_sum 'Nd16 Ge12 Rh16'
_symmetry_space_group_name_H-M 'C 1 2/c 1'
_symmetry_Int_Tables_number 15
_cell_length_a 21.284
_cell_length_b 5.704
_cell_length_c 8.028
_cell_angle_alpha 90.00
_cell_angle_beta 109.68
_cell_angle_gamma 90.00
loop_
_symmetry_equiv_pos_as_xyz
'x,y,z'
'-x,-y,-z'
'-x,y,-z+1/2'
'x,-y,z+1/2'
'x+1/2,y+1/2,z'
'-x+1/2,-y+1/2,-z'
'-x+1/2,y+1/2,-z+1/2'
'x+1/2,-y+1/2,z+1/2'
loop_
_atom_site_label
_atom_site_fract_x
_atom_site_fract_y
_atom_site_fract_z
Nd1 0.067 0.146 0.169
Nd2 0.170 0.384 0.899
Ge1 0.000 0.356 0.750
Ge2 0.172 0.120 0.558
Rh1 0.062 0.364 0.518
Rh2 0.221 0.150 0.314
```

Record 6
The following is a calculated powder diffractogram of Sr3Mg2RhO6. It was derived from a cell relaxed with PBE, using CuKα.

Peak list (10 most intense, 2θ = 10–90°, by intensity)
d (Å)	I_rel	(hkl)
2.891	100	1 1 0
2.745	75	0 1 2
1.991	52	2 0 2
6.563	43	0 0 1
1.640	33	1 2 2
5.008	27	1 0 0
2.169	22	1 1 2
1.669	20	3 0 0
1.446	19	2 2 0
2.339	17	0 2 1

Structure:
```
data_Sr3Mg2RhO6
_chemical_formula_sum 'Sr3 Mg2 Rh1 O6'
_symmetry_space_group_name_H-M 'P -3 m 1'
_symmetry_Int_Tables_number 164
_symmetry_space_group_name_Hall '-P 3 2"'
_cell_length_a 5.7825
_cell_length_b 5.7825
_cell_length_c 6.5630
_cell_angle_alpha 90.00
_cell_angle_beta 90.00
_cell_angle_gamma 120.00
loop_
_atom_site_label
_atom_site_fract_x
_atom_site_fract_y
_atom_site_fract_z
Sr1 0.0000 0.0000 0.0000
Sr2 0.3333 0.6667 0.6212
Mg1 0.3333 0.6667 0.1777
Rh1 0.0000 0.0000 0.5000
O1 0.1632 0.3264 0.3085
```